# 1
SbPbS2: simulated powder diffraction line list (λ = 1.5418 Å (Cu Kα)), based on DFT lattice parameters and positions (GGA-PBE).
Lines closer than 0.1° are merged.

Structure:
Cell: 4.2934 3.9640 11.9483 Å, 90.00 90.00 90.00°
Atoms (fractional coordinates):
Sb 0.0000 0.0000 0.0000
Sb 0.0000 0.5000 0.5000
Pb 0.5000 0.0000 0.7493
Pb 0.5000 0.5000 0.2493
S 0.0000 0.0000 0.2127
S 0.0000 0.5000 0.7127
S 0.5000 0.0000 0.5084
S 0.5000 0.5000 0.0084

Peak list (10 most intense, 10° ≤ 2θ ≤ 80°, in order of falling intensity)
hkl  2theta  d (Å)  intensity
1 1 1  31.6  2.830  100.0
1 0 2  25.5  3.486  68.8
0 0 4  29.9  2.987  49.6
1 1 3  38.3  2.351  48.1
0 1 1  23.6  3.762  46.8
1 1 5  49.3  1.847  29.4
2 0 0  42.1  2.147  20.8
0 1 3  31.9  2.810  20.4
2 0 4  52.5  1.743  20.3
1 2 2  53.2  1.723  20.1

# 2
SbPb3S4: simulated powder diffraction line list (λ = 1.5418 Å (Cu Kα)), based on DFT lattice parameters and positions (GGA-PBE).
Lines closer than 0.1° are merged.

Structure:
Cell: 4.2115 4.2734 17.5511 Å, 90.00 93.56 90.00°
Atoms (fractional coordinates):
Sb 0.0000 0.0000 0.0000
Pb 0.2726 0.5000 0.1709
Pb 0.4919 0.5000 0.8357
Pb 0.8085 0.0000 0.3381
S 0.0021 0.0000 0.8552
S 0.2924 0.5000 0.3275
S 0.5750 0.5000 0.9897
S 0.7442 0.0000 0.1823

Peak list (10 most intense, 10° ≤ 2θ ≤ 80°, in order of falling intensity)
hkl  2theta  d (Å)  intensity
0 0 2  10.1  8.759  100.0
0 1 3  25.8  3.449  95.4
1 1 0  29.8  2.997  85.2
1 1 1  30.5  2.932  73.7
0 0 6  30.6  2.920  63.1
0 2 0  42.3  2.138  56.4
1 0 -3  25.4  3.512  50.8
1 1 -2  31.1  2.875  45.6
1 0 -2  22.9  3.885  37.2
1 1 -5  38.7  2.329  34.4

# 3
Sb2Pb2S5: simulated powder diffraction line list (λ = 1.5418 Å (Cu Kα)), based on DFT lattice parameters and positions (GGA-PBE).
Lines closer than 0.1° are merged.

Structure:
Cell: 20.4587 4.0070 11.3782 Å, 90.00 90.00 90.00°
Atoms (fractional coordinates):
Sb 0.0268 0.2500 0.2029
Sb 0.1314 0.2500 0.8788
Sb 0.3686 0.7500 0.3788
Sb 0.4732 0.7500 0.7029
Sb 0.5268 0.2500 0.2971
Sb 0.6314 0.2500 0.6212
Sb 0.8686 0.7500 0.1212
Sb 0.9732 0.7500 0.7971
Pb 0.0955 0.7500 0.4988
Pb 0.2069 0.7500 0.1688
Pb 0.2931 0.2500 0.6688
Pb 0.4045 0.2500 0.9988
Pb 0.5955 0.7500 0.0012
Pb 0.7069 0.7500 0.3312
Pb 0.7931 0.2500 0.8312
Pb 0.9045 0.2500 0.5012
S 0.0204 0.2500 0.6384
S 0.0764 0.7500 0.0681
S 0.1297 0.2500 0.3148
S 0.1688 0.7500 0.7487
S 0.2326 0.2500 0.9922
S 0.2674 0.7500 0.4922
S 0.3312 0.2500 0.2487
S 0.3703 0.7500 0.8148
S 0.4236 0.2500 0.5681
S 0.4796 0.7500 0.1384
S 0.5204 0.2500 0.8616
S 0.5764 0.7500 0.4319
S 0.6297 0.2500 0.1852
S 0.6688 0.7500 0.7513
S 0.7326 0.2500 0.5078
S 0.7674 0.7500 0.0078
S 0.8312 0.2500 0.2513
S 0.8703 0.7500 0.6852
S 0.9236 0.2500 0.9319
S 0.9796 0.7500 0.3616

Peak list (10 most intense, 10° ≤ 2θ ≤ 80°, in order of falling intensity)
hkl  2theta  d (Å)  intensity
4 1 2  32.5  2.758  100.0
1 0 3  23.9  3.728  85.6
3 1 2  30.3  2.953  78.5
3 1 1  27.0  3.306  64.2
2 1 1  25.1  3.546  57.3
1 1 3  32.8  2.730  50.5
8 1 0  41.9  2.156  47.5
0 2 0  45.3  2.004  47.5
5 0 1  23.1  3.850  46.9
6 0 1  27.3  3.266  44.6

# 4
Sc2PbS4: simulated powder diffraction line list (λ = 1.5418 Å (Cu Kα)), based on DFT lattice parameters and positions (GGA-PBE).
Lines closer than 0.1° are merged.

Structure:
Cell: 11.7716 3.7812 13.7715 Å, 90.00 90.00 90.00°
Atoms (fractional coordinates):
Sc 0.0575 0.2500 0.1108
Sc 0.0818 0.2500 0.5970
Sc 0.4182 0.7500 0.0970
Sc 0.4425 0.7500 0.6108
Sc 0.5575 0.2500 0.3892
Sc 0.5818 0.2500 0.9030
Sc 0.9182 0.7500 0.4030
Sc 0.9425 0.7500 0.8892
Pb 0.2398 0.2500 0.3295
Pb 0.2602 0.7500 0.8295
Pb 0.7398 0.2500 0.1705
Pb 0.7602 0.7500 0.6705
S 0.0308 0.7500 0.7156
S 0.0866 0.2500 0.9269
S 0.1214 0.7500 0.4717
S 0.2034 0.7500 0.1581
S 0.2966 0.2500 0.6581
S 0.3786 0.2500 0.9717
S 0.4134 0.7500 0.4269
S 0.4692 0.2500 0.2156
S 0.5308 0.7500 0.7844
S 0.5866 0.2500 0.5731
S 0.6214 0.7500 0.0283
S 0.7034 0.7500 0.3419
S 0.7966 0.2500 0.8419
S 0.8786 0.2500 0.5283
S 0.9134 0.7500 0.0731
S 0.9692 0.2500 0.2844

Peak list (10 most intense, 10° ≤ 2θ ≤ 80°, in order of falling intensity)
hkl  2theta  d (Å)  intensity
1 1 3  31.6  2.833  100.0
1 0 2  14.9  5.944  65.7
3 0 2  26.1  3.409  51.8
3 1 3  38.5  2.341  50.4
4 1 1  39.3  2.291  45.4
0 1 1  24.4  3.646  40.6
3 1 1  33.6  2.671  34.2
2 0 2  19.8  4.474  33.5
2 0 0  15.1  5.886  30.9
2 0 6  42.3  2.138  29.8

# 5
SiPb2S4: simulated powder diffraction line list (λ = 1.5418 Å (Cu Kα)), based on DFT lattice parameters and positions (GGA-PBE).
Lines closer than 0.1° are merged.

Structure:
Cell: 6.6994 6.8148 16.9797 Å, 90.00 108.13 90.00°
Atoms (fractional coordinates):
Si 0.2140 0.2457 0.3977
Si 0.2140 0.2543 0.8977
Si 0.7860 0.7457 0.1023
Si 0.7860 0.7543 0.6023
Pb 0.2434 0.7356 0.5198
Pb 0.2434 0.7644 0.0198
Pb 0.2563 0.6715 0.7841
Pb 0.2563 0.8285 0.2841
Pb 0.7437 0.1715 0.7159
Pb 0.7437 0.3285 0.2159
Pb 0.7566 0.2356 0.9802
Pb 0.7566 0.2644 0.4802
S 0.0106 0.5034 0.8726
S 0.0106 0.9966 0.3726
S 0.0124 0.0043 0.8639
S 0.0124 0.4957 0.3639
S 0.3833 0.2336 0.0265
S 0.3833 0.2664 0.5265
S 0.4205 0.2166 0.3237
S 0.4205 0.2834 0.8237
S 0.5795 0.7166 0.1763
S 0.5795 0.7834 0.6763
S 0.6167 0.7336 0.4735
S 0.6167 0.7664 0.9735
S 0.9876 0.5043 0.6361
S 0.9876 0.9957 0.1361
S 0.9894 0.0034 0.6274
S 0.9894 0.4966 0.1274

Peak list (10 most intense, 10° ≤ 2θ ≤ 80°, in order of falling intensity)
hkl  2theta  d (Å)  intensity
1 1 0  19.1  4.652  100.0
1 1 -4  25.7  3.466  54.5
0 2 4  34.5  2.601  39.5
1 1 4  32.5  2.754  35.6
2 0 -4  29.9  2.992  33.1
0 0 4  22.1  4.029  32.7
0 2 0  26.2  3.407  28.6
2 2 0  38.7  2.326  26.5
1 0 4  29.7  3.009  26.4
2 0 0  28.0  3.183  25.9